No. 1
The following is a calculated X-ray powder pattern of Sr3MnF12. It was derived from a cell relaxed with GGA+U, using λ = 1.5418 Å (Cu Kα).

The 10 most intense peaks (2θ from 10° to 90°), by angle:
| (hkl) | Position (°2θ) | d_spacing | intensity |
| --- | --- | --- | --- |
| 1 1 -1 | 20.74 | 4.283 | 49 |
| 0 4 0 | 22.61 | 3.932 | 72 |
| 0 0 1 | 23.21 | 3.832 | 37 |
| 2 2 -1 | 25.88 | 3.443 | 37 |
| 2 2 0 | 26.27 | 3.392 | 100 |
| 2 6 0 | 42.02 | 2.150 | 32 |
| 2 2 -2 | 42.20 | 2.141 | 57 |
| 4 2 -1 | 43.00 | 2.103 | 43 |
| 4 4 -1 | 47.64 | 1.909 | 30 |
| 4 4 -2 | 53.21 | 1.722 | 36 |

Atomic structure:
Cell lengths 8.7306, 15.7289, 4.4509 Å; angles 90.00, 120.54, 90.00 degrees
Space group C2/m (No. 12)
Unique sites:
Sr  0.0000  0.0000  0.0000 x2
Sr  0.2500  0.2500  0.5000 x4
Mn  0.0000  0.5000  0.5000 x2
F  0.0866  0.2568  0.8616 x8
F  0.1176  0.0946  0.5241 x8
F  0.1765  0.4194  0.7019 x8

=====

No. 2
The following is a calculated X-ray powder pattern of SrMnZn2F8. It was derived from a cell relaxed with GGA+U, using λ = 1.5418 Å (Cu Kα).

The 10 most intense peaks (2θ from 10° to 90°), by angle:
| (hkl) | Position (°2θ) | d_spacing | intensity |
| --- | --- | --- | --- |
| 1 1 2 | 28.32 | 3.151 | 100 |
| 0 0 4 | 31.59 | 2.832 | 9 |
| 2 0 0 | 33.42 | 2.681 | 10 |
| 2 0 4 | 46.65 | 1.947 | 37 |
| 2 2 0 | 47.99 | 1.896 | 19 |
| 1 1 6 | 54.27 | 1.690 | 16 |
| 1 3 2 | 56.66 | 1.624 | 29 |
| 2 2 4 | 58.59 | 1.575 | 9 |
| 3 1 6 | 75.33 | 1.262 | 11 |
| 2 4 4 | 88.57 | 1.104 | 8 |

Atomic structure:
Cell lengths 5.3621, 5.3621, 11.3287 Å; angles 90.00, 90.00, 90.00 degrees
Space group I-4 (No. 82)
Unique sites:
Sr  0.0000  0.0000  0.0000 x2
Mn  0.0000  0.5000  0.2500 x2
Zn  0.0000  0.0000  0.5000 x2
Zn  0.0000  0.5000  0.7500 x2
F  0.1604  0.2644  0.4085 x8
F  0.1906  0.7643  0.8287 x8

=====

No. 3
The following is a calculated X-ray powder pattern of TiMnF5. It was derived from a cell relaxed with GGA+U, using λ = 1.5418 Å (Cu Kα).

The 10 most intense peaks (2θ from 10° to 90°), by angle:
| (hkl) | Position (°2θ) | d_spacing | intensity |
| --- | --- | --- | --- |
| 2 0 0 | 22.22 | 4.001 | 97 |
| 1 1 -2 | 27.22 | 3.276 | 100 |
| 0 2 0 | 27.39 | 3.257 | 43 |
| 4 0 0 | 45.33 | 2.001 | 32 |
| 2 0 -4 | 48.00 | 1.895 | 24 |
| 1 3 -2 | 48.31 | 1.884 | 37 |
| 5 1 -2 | 53.68 | 1.707 | 25 |
| 4 2 0 | 53.78 | 1.705 | 30 |
| 2 2 -4 | 56.14 | 1.638 | 18 |
| 3 3 2 | 68.40 | 1.372 | 21 |

Atomic structure:
Cell lengths 8.8512, 6.5136, 7.5806 Å; angles 90.00, 115.30, 90.00 degrees
Space group C2/c (No. 15)
Unique sites:
Ti  0.0000  0.0000  0.0000 x4
Mn  0.0000  0.4670  0.2500 x4
F  0.0000  0.1161  0.2500 x4
F  0.0161  0.3050  0.9621 x8
F  0.2374  0.0277  0.6266 x8

=====

No. 4
The following is a calculated X-ray powder pattern of TiMnTlF6. It was derived from a cell relaxed with GGA+U, using λ = 1.5418 Å (Cu Kα).

The 10 most intense peaks (2θ from 10° to 90°), by angle:
| (hkl) | Position (°2θ) | d_spacing | intensity |
| --- | --- | --- | --- |
| 1 0 0 | 18.12 | 4.895 | 21 |
| 1 0 2 | 23.59 | 3.771 | 100 |
| 1 1 0 | 31.66 | 2.826 | 22 |
| 2 -1 2 | 35.19 | 2.550 | 11 |
| 1 0 4 | 35.47 | 2.531 | 13 |
| 2 0 2 | 39.86 | 2.262 | 21 |
| 1 1 4 | 44.34 | 2.043 | 33 |
| 1 0 6 | 49.88 | 1.828 | 11 |
| 2 1 2 | 51.77 | 1.766 | 23 |
| 4 -1 2 | 71.26 | 1.323 | 10 |

Atomic structure:
Cell lengths 5.6527, 5.6527, 11.8248 Å; angles 90.00, 90.00, 120.00 degrees
Space group P-31c (No. 163)
Unique sites:
Ti  0.3333  0.6667  0.2500 x2
Mn  0.3333  0.6667  0.7500 x2
Tl  0.0000  0.0000  0.0000 x2
F  0.0192  0.3913  0.1575 x12